Entry 1:
Structure and computed powder diffractogram of Rb2GaBrF6 (a GGA-PBE-relaxed structure; Cu Kα X-rays).

Peak list (12 most intense, 10 to 90 degrees two-theta, in order of rising 2θ)
Position (°2θ)  intensity
25.6  70.2
28.4  100.0
36.6  47.7
44.5  15.6
47.0  39.1
52.0  19.6
52.7  13.1
58.9  21.8
59.5  17.2
60.9  15.1
73.2  14.7
77.2  15.7

Structural model:
Cell: 6.953 6.953 8.152 Å, 90.00 90.00 90.00°
Space group I4/mmm (No. 139)
Symmetry-distinct sites (fractional):
Rb: 0.000 0.500 0.250 x4
Ga: 0.000 0.000 0.000 x2
Br: 0.000 0.000 0.500 x2
F: 0.000 0.000 0.255 x4
F: 0.190 0.190 0.000 x8

---

Entry 2:
Structure and computed powder diffractogram of NaRh2F11 (a GGA-PBE-relaxed structure; Cu Kα X-rays).

Peak list (12 most intense, 10 to 90 degrees two-theta, in order of rising 2θ)
Position (°2θ)  intensity
13.7  14.7
16.9  100.0
21.9  48.2
23.3  92.8
23.5  90.7
25.8  17.2
26.0  16.7
33.9  13.8
42.0  19.6
44.6  28.9
45.6  37.0
55.3  19.9

Structural model:
Cell: 9.053 9.186 10.478 Å, 90.00 90.00 90.00°
Space group Ibam (No. 72)
Symmetry-distinct sites (fractional):
Na: 0.000 0.000 0.250 x4
Rh: 0.156 0.343 0.000 x8
F: 0.000 0.500 0.000 x4
F: 0.052 0.239 0.128 x16
F: 0.201 0.302 0.500 x8
F: 0.236 0.056 0.372 x16